(1)
For Na3NbAs2O9, a cell relaxed with PBE gives the theoretical XRD peak list in this record (Cu Kα (weighted mean of Kα1 and Kα2)).
Peak positions follow from Bragg's law for the DFT cell and can differ from measured ones.

Crystal structure
```
data_Na3NbAs2O9
_space_group_name_H-M_alt 'P 1 21/c 1'
_space_group_IT_number 14
_space_group_name_Hall '-P 2ybc'
_cell_length_a 10.3055
_cell_length_b 10.2149
_cell_length_c 12.1533
_cell_angle_alpha 90.00
_cell_angle_beta 119.50
_cell_angle_gamma 90.00
loop_
_atom_site_label
_atom_site_fract_x
_atom_site_fract_y
_atom_site_fract_z
Na1 0.0417 0.2322 0.3797
Na2 0.3077 0.5899 0.5963
Na3 0.4043 0.1124 0.3500
Nb1 0.2109 0.6128 0.9964
As1 0.3249 0.7367 0.3497
As2 0.3663 0.1324 0.6269
O1 0.0533 0.0187 0.4803
O2 0.1326 0.7395 0.0496
O3 0.1602 0.6641 0.8160
O4 0.2154 0.0985 0.9777
O5 0.2775 0.0945 0.4621
O6 0.3508 0.1311 0.0754
O7 0.3746 0.5471 0.1609
O8 0.3933 0.7398 0.0159
O9 0.4280 0.6275 0.8230
```

Most intense lines, 15 to 90 degrees two-theta, by angle:
- d = 5.289 Å, rel. 100, (0 0 2)
- d = 4.770 Å, rel. 94, (2 0 -2)
- d = 4.697 Å, rel. 61, (0 1 2)
- d = 4.486 Å, rel. 83, (2 0 0)
- d = 3.622 Å, rel. 45, (2 2 -1)
- d = 3.569 Å, rel. 57, (1 1 2)
- d = 2.964 Å, rel. 69, (1 0 -4)
- d = 2.771 Å, rel. 57, (3 0 -4)
- d = 2.710 Å, rel. 62, (2 3 0)
- d = 2.251 Å, rel. 79, (2 4 -2)

(2)
For LiHBr, a cell relaxed with PBE gives the theoretical XRD peak list in this record (Cu Kα (weighted mean of Kα1 and Kα2)).
Peak positions follow from Bragg's law for the DFT cell and can differ from measured ones.

Crystal structure
```
data_LiHBr
_space_group_name_H-M_alt 'P 1'
_space_group_IT_number 1
_space_group_name_Hall 'P 1'
_cell_length_a 4.2133
_cell_length_b 4.2285
_cell_length_c 7.3840
_cell_angle_alpha 92.73
_cell_angle_beta 105.30
_cell_angle_gamma 116.97
loop_
_atom_site_label
_atom_site_fract_x
_atom_site_fract_y
_atom_site_fract_z
Li1 0.0000 0.0000 0.0000
Li2 0.0370 0.4630 0.5039
H1 0.1490 0.0479 0.3665
H2 0.3160 0.2193 0.3631
Br1 0.7264 0.3835 0.1080
Br2 0.7711 0.8615 0.6342
```

Most intense lines, 15 to 90 degrees two-theta, by angle:
- d = 3.562 Å, rel. 100, (1 0 0)
- d = 3.493 Å, rel. 47, (0 0 2)
- d = 3.363 Å, rel. 44, (-1 1 1)
- d = 3.028 Å, rel. 62, (0 1 1)
- d = 3.017 Å, rel. 28, (1 -1 1)
- d = 2.206 Å, rel. 16, (1 1 -1)
- d = 2.169 Å, rel. 27, (1 0 2)
- d = 1.865 Å, rel. 16, (1 1 1)
- d = 1.841 Å, rel. 14, (2 0 -2)
- d = 1.816 Å, rel. 14, (0 1 3)

(3)
For Ta4Re3Ir, a cell relaxed with PBE gives the theoretical XRD peak list in this record (Cu Kα (weighted mean of Kα1 and Kα2)).
Peak positions follow from Bragg's law for the DFT cell and can differ from measured ones.

Crystal structure
```
data_Ta4Re3Ir
_space_group_name_H-M_alt 'P m m m'
_space_group_IT_number 47
_space_group_name_Hall '-P 2 2'
_cell_length_a 3.2528
_cell_length_b 4.4968
_cell_length_c 8.9756
_cell_angle_alpha 90.00
_cell_angle_beta 90.00
_cell_angle_gamma 90.00
loop_
_atom_site_label
_atom_site_fract_x
_atom_site_fract_y
_atom_site_fract_z
Ta1 0.0000 0.0000 0.0000
Ta2 0.0000 0.0000 0.5000
Ta3 0.0000 0.5000 0.2467
Re1 0.5000 0.0000 0.2534
Re2 0.5000 0.5000 0.0000
Ir1 0.5000 0.5000 0.5000
```

Most intense lines, 15 to 90 degrees two-theta, by angle:
- d = 2.273 Å, rel. 100, (1 1 2)
- d = 2.246 Å, rel. 48, (0 2 0)
- d = 1.626 Å, rel. 9, (2 0 0)
- d = 1.588 Å, rel. 17, (0 2 4)
- d = 1.317 Å, rel. 18, (2 2 0)
- d = 1.303 Å, rel. 17, (1 3 2)
- d = 1.301 Å, rel. 17, (1 1 6)
- d = 1.136 Å, rel. 11, (2 2 4)
- d = 1.124 Å, rel. 3, (0 4 0)
- d = 1.122 Å, rel. 3, (0 0 8)

(4)
For Dy2Y2Ga4Sn, a cell relaxed with PBE gives the theoretical XRD peak list in this record (Cu Kα (weighted mean of Kα1 and Kα2)).
Peak positions follow from Bragg's law for the DFT cell and can differ from measured ones.

Crystal structure
```
data_Dy2Y2Ga4Sn
_space_group_name_H-M_alt 'I 4/m m m'
_space_group_IT_number 139
_space_group_name_Hall '-I 4 2'
_cell_length_a 7.1021
_cell_length_b 7.1021
_cell_length_c 9.1903
_cell_angle_alpha 90.00
_cell_angle_beta 90.00
_cell_angle_gamma 90.00
loop_
_atom_site_label
_atom_site_fract_x
_atom_site_fract_y
_atom_site_fract_z
Dy1 0.0000 0.0000 0.1888
Y1 0.0000 0.5000 0.2500
Ga1 0.2353 0.2353 0.0000
Sn1 0.0000 0.0000 0.5000
```

Most intense lines, 15 to 90 degrees two-theta, by angle:
- d = 5.022 Å, rel. 29, (1 1 0)
- d = 3.551 Å, rel. 21, (2 0 0)
- d = 2.811 Å, rel. 100, (2 0 2)
- d = 2.511 Å, rel. 62, (2 2 0)
- d = 2.297 Å, rel. 12, (0 0 4)
- d = 2.205 Å, rel. 41, (2 1 3)
- d = 1.873 Å, rel. 16, (3 0 3)
- d = 1.776 Å, rel. 21, (4 0 0)
- d = 1.695 Å, rel. 16, (2 2 4)
- d = 1.501 Å, rel. 28, (4 2 2)

(5)
For Pm6TlPb2, a cell relaxed with PBE gives the theoretical XRD peak list in this record (Cu Kα (weighted mean of Kα1 and Kα2)).
Peak positions follow from Bragg's law for the DFT cell and can differ from measured ones.

Crystal structure
```
data_Pm6TlPb2
_space_group_name_H-M_alt 'P -6 2 m'
_space_group_IT_number 189
_space_group_name_Hall 'P -6 -2'
_cell_length_a 8.6152
_cell_length_b 8.6152
_cell_length_c 4.5463
_cell_angle_alpha 90.00
_cell_angle_beta 90.00
_cell_angle_gamma 120.00
loop_
_atom_site_label
_atom_site_fract_x
_atom_site_fract_y
_atom_site_fract_z
Pm1 0.0000 0.4074 0.0000
Pm2 0.0000 0.7428 0.5000
Tl1 0.0000 0.0000 0.0000
Pb1 0.3333 0.6667 0.5000
```

Most intense lines, 15 to 90 degrees two-theta, by angle:
- d = 4.308 Å, rel. 13, (1 1 0)
- d = 3.127 Å, rel. 79, (1 1 1)
- d = 2.884 Å, rel. 100, (2 0 1)
- d = 2.820 Å, rel. 37, (2 1 0)
- d = 2.487 Å, rel. 50, (3 0 0)
- d = 2.396 Å, rel. 46, (2 1 1)
- d = 2.273 Å, rel. 29, (0 0 2)
- d = 1.770 Å, rel. 19, (2 1 2)
- d = 1.678 Å, rel. 31, (3 0 2)
- d = 1.602 Å, rel. 39, (3 2 1)

(6)
For HgClF, a cell relaxed with PBE gives the theoretical XRD peak list in this record (Cu Kα (weighted mean of Kα1 and Kα2)).
Peak positions follow from Bragg's law for the DFT cell and can differ from measured ones.

Crystal structure
```
data_HgClF
_space_group_name_H-M_alt 'C 1 m 1'
_space_group_IT_number 8
_space_group_name_Hall 'C -2y'
_cell_length_a 6.5902
_cell_length_b 5.2901
_cell_length_c 4.2768
_cell_angle_alpha 90.00
_cell_angle_beta 105.56
_cell_angle_gamma 90.00
loop_
_atom_site_label
_atom_site_fract_x
_atom_site_fract_y
_atom_site_fract_z
Hg1 0.0000 0.0000 0.0000
Cl1 0.2357 0.5000 0.2695
F1 0.2352 0.0000 0.7698
```

Most intense lines, 15 to 90 degrees two-theta, by angle:
- d = 4.120 Å, rel. 51, (0 0 1)
- d = 4.064 Å, rel. 100, (1 1 0)
- d = 3.178 Å, rel. 43, (1 1 -1)
- d = 2.922 Å, rel. 23, (2 0 -1)
- d = 2.673 Å, rel. 58, (1 1 1)
- d = 2.645 Å, rel. 28, (0 2 0)
- d = 2.226 Å, rel. 21, (0 2 1)
- d = 1.975 Å, rel. 23, (3 1 -1)
- d = 1.963 Å, rel. 31, (2 2 -1)
- d = 1.589 Å, rel. 17, (4 0 0)

(7)
For Sm4Tm3Th2, a cell relaxed with PBE gives the theoretical XRD peak list in this record (Cu Kα (weighted mean of Kα1 and Kα2)).
Peak positions follow from Bragg's law for the DFT cell and can differ from measured ones.

Crystal structure
```
data_Sm4Tm3Th2
_space_group_name_H-M_alt 'P 3 m 1'
_space_group_IT_number 156
_space_group_name_Hall 'P 3 -2"'
_cell_length_a 3.5616
_cell_length_b 3.5616
_cell_length_c 26.6856
_cell_angle_alpha 90.00
_cell_angle_beta 90.00
_cell_angle_gamma 120.00
loop_
_atom_site_label
_atom_site_fract_x
_atom_site_fract_y
_atom_site_fract_z
Sm1 0.0000 0.0000 0.0000
Sm2 0.0000 0.0000 0.2132
Sm3 0.3333 0.6667 0.3269
Sm4 0.3333 0.6667 0.5427
Tm1 0.0000 0.0000 0.4340
Tm2 0.3333 0.6667 0.1056
Tm3 0.3333 0.6667 0.7631
Th1 0.0000 0.0000 0.6543
Th2 0.0000 0.0000 0.8707
```

Most intense lines, 15 to 90 degrees two-theta, by angle:
- d = 3.084 Å, rel. 49, (1 0 0)
- d = 2.965 Å, rel. 50, (0 0 9)
- d = 2.800 Å, rel. 62, (1 0 4)
- d = 2.671 Å, rel. 100, (0 1 5)
- d = 2.138 Å, rel. 32, (0 1 9)
- d = 1.781 Å, rel. 38, (1 1 0)
- d = 1.621 Å, rel. 32, (0 1 14)
- d = 1.527 Å, rel. 42, (1 1 9)
- d = 1.482 Å, rel. 23, (0 0 18)
- d = 1.139 Å, rel. 27, (1 1 18)

(8)
For Li4CdBi2, a cell relaxed with PBE gives the theoretical XRD peak list in this record (Cu Kα (weighted mean of Kα1 and Kα2)).
Peak positions follow from Bragg's law for the DFT cell and can differ from measured ones.

Crystal structure
```
data_Li4CdBi2
_space_group_name_H-M_alt 'P 1 21/m 1'
_space_group_IT_number 11
_space_group_name_Hall '-P 2yb'
_cell_length_a 7.7874
_cell_length_b 5.2340
_cell_length_c 8.1544
_cell_angle_alpha 90.00
_cell_angle_beta 109.43
_cell_angle_gamma 90.00
loop_
_atom_site_label
_atom_site_fract_x
_atom_site_fract_y
_atom_site_fract_z
Li1 0.0232 0.2500 0.2703
Li2 0.1687 0.2500 0.6417
Li3 0.4182 0.0051 0.3076
Cd1 0.3794 0.7500 0.9179
Bi1 0.1885 0.2500 0.9934
Bi2 0.2341 0.7500 0.5084
```

Most intense lines, 15 to 90 degrees two-theta, by angle:
- d = 4.077 Å, rel. 100, (1 1 -1)
- d = 3.845 Å, rel. 72, (0 0 2)
- d = 3.672 Å, rel. 33, (2 0 0)
- d = 3.456 Å, rel. 40, (1 1 1)
- d = 3.100 Å, rel. 31, (2 1 -1)
- d = 2.617 Å, rel. 39, (0 2 0)
- d = 2.412 Å, rel. 48, (1 1 -3)
- d = 2.325 Å, rel. 29, (3 1 -1)
- d = 2.301 Å, rel. 20, (2 0 2)
- d = 2.164 Å, rel. 37, (0 2 2)